Starting from a cell relaxed with PBE+U, the XRD peak list of Ca4Al6WO16 was calculated for a wavelength of 1.5418 Å.
Lines closer than 0.1° are merged.

Main lines, sorted by position (10 to 90 degrees two-theta):
Position (°2θ), I/Imax, index
13.25, 27, 1 0 1
22.96, 51, 1 1 2
23.22, 100, 2 1 1
26.68, 27, 2 0 2
35.42, 15, 1 2 3
35.71, 15, 3 1 2
38.52, 13, 4 0 0
40.49, 12, 3 0 3
40.92, 14, 3 3 0
45.08, 14, 3 2 3
47.47, 13, 2 4 2
54.95, 11, 4 0 4

Structure:
Lattice parameters (Å, degrees): 9.348 9.348 9.560 90.00 90.00 90.00
Space group I-4 (No. 82)
One atom of each set of equivalent atoms:
Ca: 0.215 0.250 0.266
Al: 0.000 0.500 0.250
Al: 0.000 0.500 0.750
Al: 0.015 0.252 0.994
W: 0.000 0.000 0.500
O: 0.016 0.657 0.152
O: 0.026 0.156 0.390
O: 0.067 0.349 0.844
O: 0.149 0.834 0.958